Entry 1:
The following is a simulated X-ray powder pattern of V2Cu2O7. It was derived from the PBE+U geometry in the Materials Project, using CuKα.

Crystal structure
a = 10.856 Å, b = 5.500 Å, c = 11.287 Å
α = 71.30°, β = 28.68°, γ = 80.02°
Positions (direct):
V 0.104 0.896 0.297
V 0.547 0.953 0.354
V 0.896 0.104 0.703
V 0.953 0.547 0.146
Cu 0.021 0.437 0.806
Cu 0.437 0.021 0.736
Cu 0.444 0.514 0.229
Cu 0.514 0.444 0.813
O 0.009 0.409 0.990
O 0.084 0.084 0.416
O 0.115 0.285 0.600
O 0.251 0.650 0.965
O 0.260 0.658 0.241
O 0.285 0.115 0.999
O 0.338 0.713 0.486
O 0.409 0.009 0.592
O 0.650 0.251 0.135
O 0.658 0.260 0.841
O 0.713 0.338 0.464
O 0.764 0.786 0.912
O 0.786 0.764 0.537
O 0.834 0.834 0.166

Top 8 peaks for 2θ from 15° to 90°, by angle:
d 4.165, 21.3 deg, rel. 13; d 3.381, 26.4 deg, rel. 100; d 3.247, 27.5 deg, rel. 20; d 3.073, 29.1 deg, rel. 36; d 2.531, 35.5 deg, rel. 27; d 2.230, 40.4 deg, rel. 12; d 1.546, 59.8 deg, rel. 12; d 1.453, 64.1 deg, rel. 11

Entry 2:
The following is a simulated X-ray powder pattern of VCuO2. It was derived from the PBE+U geometry in the Materials Project, using CuKα.

Crystal structure
a = 3.050 Å, b = 3.050 Å, c = 11.588 Å
α = 90.00°, β = 90.00°, γ = 120.00°
Positions (direct):
V 0.000 0.000 0.000
V 0.000 0.000 0.500
Cu 0.333 0.667 0.250
Cu 0.667 0.333 0.750
O 0.333 0.667 0.091
O 0.333 0.667 0.409
O 0.667 0.333 0.591
O 0.667 0.333 0.909

Top 8 peaks for 2θ from 15° to 90°, by angle:
d 2.897, 30.9 deg, rel. 39; d 2.575, 34.8 deg, rel. 100; d 2.403, 37.4 deg, rel. 86; d 1.742, 52.5 deg, rel. 23; d 1.559, 59.3 deg, rel. 32; d 1.525, 60.7 deg, rel. 34; d 1.403, 66.7 deg, rel. 14; d 1.349, 69.7 deg, rel. 21

Entry 3:
The following is a simulated X-ray powder pattern of V2CuO8. It was derived from the PBE+U geometry in the Materials Project, using CuKα.

Crystal structure
a = 5.757 Å, b = 5.654 Å, c = 10.999 Å
α = 90.00°, β = 91.83°, γ = 90.00°
Positions (direct):
V 0.234 0.050 0.160
V 0.234 0.950 0.660
V 0.766 0.050 0.340
V 0.766 0.950 0.840
Cu 0.000 0.500 0.000
Cu 0.000 0.500 0.500
O 0.000 0.058 0.750
O 0.000 0.942 0.250
O 0.172 0.347 0.121
O 0.172 0.653 0.621
O 0.229 0.438 0.904
O 0.229 0.562 0.404
O 0.249 0.120 0.540
O 0.249 0.880 0.040
O 0.500 0.046 0.250
O 0.500 0.954 0.750
O 0.751 0.120 0.960
O 0.751 0.880 0.460
O 0.771 0.438 0.596
O 0.771 0.562 0.096
O 0.828 0.347 0.379
O 0.828 0.653 0.879

Top 8 peaks for 2θ from 15° to 90°, by angle:
d 5.754, 15.4 deg, rel. 57; d 4.038, 22.0 deg, rel. 100; d 3.941, 22.6 deg, rel. 81; d 3.217, 27.7 deg, rel. 93; d 2.827, 31.7 deg, rel. 35; d 2.564, 35.0 deg, rel. 19; d 2.316, 38.9 deg, rel. 13; d 2.297, 39.2 deg, rel. 16